[1]
Diffraction record for Er4MgTl2. The powder diffractogram is calculated, not measured: it uses a PBE-relaxed structure and Cu Kα, 1.54184 Å.
Kinematic intensities with the Lorentz-polarization factor, no thermal factor.

Main lines, in order of falling intensity (2θ = 10–80°):
d = 2.848 Å, 31.4°, I = 100; d = 2.680 Å, 33.4°, I = 45; d = 2.829 Å, 31.6°, I = 39; d = 3.326 Å, 26.8°, I = 34; d = 7.836 Å, 11.3°, I = 30; d = 1.424 Å, 65.6°, I = 14; d = 2.819 Å, 31.7°, I = 13; d = 2.535 Å, 35.4°, I = 12; d = 2.527 Å, 35.5°, I = 12; d = 1.681 Å, 54.6°, I = 12

```
Er4MgTl2
1.0
6.7225 0.0000 0.0000
3.3406 7.8404 0.0000
3.3453 0.5414 7.8502
Er Mg Tl
8 2 4
Cartesian
3.3405 3.0722 2.5966
6.6913 6.9837 6.8281
4.9530 6.1482 2.0852
4.9608 2.2365 5.7694
8.4476 6.1453 2.0808
8.4554 2.2337 5.7650
6.7171 1.3982 1.0221
10.0679 5.3097 5.2536
6.6957 8.0393 3.8686
6.7127 0.3425 3.9816
1.6703 3.9202 0.0000
3.3612 0.0000 0.0000
5.0315 3.9202 0.0000
6.7042 4.1909 3.9251
```


[2]
Diffraction record for Er3Mg5Tl2. The powder diffractogram is calculated, not measured: it uses a PBE-relaxed structure and Cu Kα, 1.54184 Å.
Kinematic intensities with the Lorentz-polarization factor, no thermal factor.

Main lines, in order of falling intensity (2θ = 10–80°):
d = 2.824 Å, 31.7°, I = 100; d = 2.333 Å, 38.6°, I = 59; d = 3.170 Å, 28.2°, I = 51; d = 2.189 Å, 41.2°, I = 48; d = 3.073 Å, 29.1°, I = 42; d = 3.096 Å, 28.8°, I = 35; d = 1.596 Å, 57.8°, I = 33; d = 4.314 Å, 20.6°, I = 29; d = 2.512 Å, 35.7°, I = 27; d = 6.893 Å, 12.8°, I = 20

```
Er3Mg5Tl2
1.0
-6.2005 6.8926 3.0917
6.2005 -6.8926 3.0917
6.2005 6.8926 -3.0917
Er Mg Tl
6 10 4
Cartesian
1.6425 3.1590 0.0000
0.0000 0.0000 1.5459
7.8429 3.7336 0.0000
-1.6425 3.1590 3.0917
0.0000 0.0000 4.6376
4.5580 3.7336 3.0917
4.8732 2.0928 0.0000
3.2007 0.0000 1.5459
6.2005 0.0000 1.5459
9.2003 0.0000 1.5459
4.8732 -2.0928 3.0917
1.3272 8.9853 0.0000
-2.9998 6.8926 1.5459
0.0000 6.8926 1.5459
2.9998 6.8926 1.5459
1.3272 4.7998 3.0917
4.4679 -4.8063 3.0917
4.4679 4.8063 0.0000
1.7325 2.0863 3.0917
1.7325 11.6988 0.0000
```


[3]
Diffraction record for ErTm3Mg3. The powder diffractogram is calculated, not measured: it uses a PBE-relaxed structure and Cu Kα, 1.54184 Å.
Kinematic intensities with the Lorentz-polarization factor, no thermal factor.

Main lines, in order of falling intensity (2θ = 10–80°):
d = 2.597 Å, 34.5°, I = 100; d = 2.596 Å, 34.6°, I = 49; d = 2.952 Å, 30.3°, I = 44; d = 2.730 Å, 32.8°, I = 38; d = 7.809 Å, 11.3°, I = 34; d = 4.475 Å, 19.8°, I = 32; d = 1.446 Å, 64.5°, I = 32; d = 1.704 Å, 53.8°, I = 31; d = 1.549 Å, 59.7°, I = 31; d = 3.477 Å, 25.6°, I = 31

```
ErTm3Mg3
1.0
9.0145 0.0000 0.0000
0.0000 5.4598 0.0000
-4.5048 0.0000 7.8120
Er Tm Mg
2 6 6
Cartesian
0.0045 1.3650 2.6038
4.5051 4.0949 5.2082
-1.2936 4.0949 6.2845
2.5405 1.3650 0.3555
0.6779 1.3650 5.9265
3.8317 4.0949 1.8854
1.9692 4.0949 7.4565
5.8033 1.3650 1.5274
-2.5875 1.3650 4.8097
0.6149 4.0949 0.7418
1.3038 4.0949 4.0691
3.2059 1.3650 3.7429
3.8947 1.3650 7.0702
7.0971 4.0949 3.0023
```


[4]
Diffraction record for ErTm6Mg. The powder diffractogram is calculated, not measured: it uses a PBE-relaxed structure and Cu Kα, 1.54184 Å.
Kinematic intensities with the Lorentz-polarization factor, no thermal factor.

Main lines, in order of falling intensity (2θ = 10–80°):
d = 2.827 Å, 31.6°, I = 100; d = 2.432 Å, 37.0°, I = 33; d = 1.469 Å, 63.3°, I = 28; d = 1.737 Å, 52.7°, I = 24; d = 2.481 Å, 36.2°, I = 17; d = 1.491 Å, 62.3°, I = 15; d = 1.414 Å, 66.1°, I = 12; d = 1.720 Å, 53.3°, I = 12; d = 6.879 Å, 12.9°, I = 7; d = 4.864 Å, 18.2°, I = 3

```
ErTm6Mg
1.0
9.7236 0.0000 0.0000
0.0000 9.7340 0.0000
0.0000 0.0000 4.9629
Er Tm Mg
2 12 2
Cartesian
0.0000 0.0000 0.0000
4.8618 4.8670 0.0000
0.0000 2.4009 2.4814
0.0000 7.3331 2.4814
2.4007 0.0000 2.4814
2.4309 2.4335 0.0000
2.4309 7.3005 0.0000
2.4611 4.8670 2.4814
4.8618 2.4661 2.4814
4.8618 7.2680 2.4814
7.2625 4.8670 2.4814
7.2927 2.4335 0.0000
7.2927 7.3005 0.0000
7.3229 0.0000 2.4814
0.0000 4.8670 0.0000
4.8618 0.0000 0.0000
```


[5]
Diffraction record for Er5TmMg3. The powder diffractogram is calculated, not measured: it uses a PBE-relaxed structure and Cu Kα, 1.54184 Å.
Kinematic intensities with the Lorentz-polarization factor, no thermal factor.

Main lines, in order of falling intensity (2θ = 10–80°):
d = 2.815 Å, 31.8°, I = 100; d = 2.875 Å, 31.1°, I = 66; d = 2.752 Å, 32.5°, I = 56; d = 3.206 Å, 27.8°, I = 43; d = 2.825 Å, 31.7°, I = 39; d = 2.795 Å, 32.0°, I = 38; d = 2.660 Å, 33.7°, I = 34; d = 1.751 Å, 52.2°, I = 31; d = 4.830 Å, 18.4°, I = 26; d = 5.501 Å, 16.1°, I = 24

```
Er5TmMg3
1.0
5.6541 -4.5446 0.0000
5.6541 4.5446 0.0000
-2.9545 0.0000 11.4783
Er Tm Mg
10 2 6
Cartesian
-0.8834 0.0000 7.2595
3.0698 1.6609 2.3429
5.6541 2.7929 0.0000
-0.2272 0.0000 10.7002
5.2839 1.6609 9.1354
3.0698 -1.6609 2.3429
8.5809 0.0000 0.7781
5.6541 -2.7929 0.0000
5.2839 -1.6609 9.1354
9.2371 0.0000 4.2189
2.1481 0.0000 8.4324
6.2055 0.0000 3.0459
0.2904 0.0000 2.4330
1.3919 0.0000 5.0527
5.6541 0.0000 0.0000
4.1768 0.0000 5.7392
6.9618 0.0000 6.4257
8.0633 0.0000 9.0453
```


[6]
Diffraction record for ErTm8Mg2. The powder diffractogram is calculated, not measured: it uses a PBE-relaxed structure and Cu Kα, 1.54184 Å.
Kinematic intensities with the Lorentz-polarization factor, no thermal factor.

Main lines, in order of falling intensity (2θ = 10–80°):
d = 2.810 Å, 31.8°, I = 100; d = 2.657 Å, 33.7°, I = 97; d = 2.706 Å, 33.1°, I = 81; d = 2.730 Å, 32.8°, I = 80; d = 3.038 Å, 29.4°, I = 79; d = 2.591 Å, 34.6°, I = 66; d = 7.639 Å, 11.6°, I = 33; d = 4.265 Å, 20.8°, I = 32; d = 1.750 Å, 52.3°, I = 27; d = 1.981 Å, 45.8°, I = 27

```
ErTm8Mg2
1.0
4.3115 -7.6394 0.0000
4.3115 7.6394 0.0000
-2.3541 0.0000 5.0103
Er Tm Mg
1 8 2
Cartesian
0.0000 0.0000 0.0000
0.3218 1.6956 3.1492
4.3115 4.3985 0.0000
0.3218 -1.6956 3.1492
3.0119 0.0000 1.0096
3.2569 0.0000 4.0007
5.9471 1.6956 1.8611
4.3115 -4.3985 0.0000
5.9471 -1.6956 1.8611
3.1344 2.9543 2.5051
3.1344 -2.9543 2.5051
```


[7]
Diffraction record for ErTm4Mg. The powder diffractogram is calculated, not measured: it uses a PBE-relaxed structure and Cu Kα, 1.54184 Å.
Kinematic intensities with the Lorentz-polarization factor, no thermal factor.

Main lines, in order of falling intensity (2θ = 10–80°):
d = 2.818 Å, 31.8°, I = 100; d = 2.471 Å, 36.4°, I = 36; d = 1.485 Å, 62.6°, I = 29; d = 1.715 Å, 53.4°, I = 22; d = 2.382 Å, 37.8°, I = 15; d = 1.747 Å, 52.4°, I = 13; d = 1.446 Å, 64.4°, I = 11; d = 1.409 Å, 66.3°, I = 11; d = 3.139 Å, 28.4°, I = 7; d = 7.147 Å, 12.4°, I = 5

```
ErTm4Mg
1.0
3.4944 0.0000 0.0000
0.0000 3.4944 0.0000
0.0000 0.0000 14.2935
Er Tm Mg
1 4 1
Cartesian
0.0000 0.0000 0.0000
0.0000 0.0000 4.9010
0.0000 0.0000 9.3925
1.7472 1.7472 2.4760
1.7472 1.7472 11.8175
1.7472 1.7472 7.1467
```


[8]
Diffraction record for ErTm2Mg9. The powder diffractogram is calculated, not measured: it uses a PBE-relaxed structure and Cu Kα, 1.54184 Å.
Kinematic intensities with the Lorentz-polarization factor, no thermal factor.

Main lines, in order of falling intensity (2θ = 10–80°):
d = 2.675 Å, 33.5°, I = 100; d = 4.633 Å, 19.2°, I = 98; d = 3.276 Å, 27.2°, I = 85; d = 2.317 Å, 38.9°, I = 50; d = 2.072 Å, 43.7°, I = 48; d = 1.397 Å, 67.0°, I = 39; d = 1.892 Å, 48.1°, I = 37; d = 1.638 Å, 56.1°, I = 34; d = 1.544 Å, 59.9°, I = 24; d = 1.238 Å, 77.0°, I = 19

```
ErTm2Mg9
1.0
4.6354 0.0000 0.0000
0.0000 4.6354 0.0000
0.0000 0.0000 13.8872
Er Tm Mg
1 2 9
Cartesian
0.0000 0.0000 0.0000
0.0000 0.0000 4.6322
0.0000 0.0000 9.2550
0.0000 2.3177 2.3182
0.0000 2.3177 6.9436
0.0000 2.3177 11.5690
2.3177 0.0000 2.3182
2.3177 0.0000 6.9436
2.3177 0.0000 11.5690
2.3177 2.3177 0.0000
2.3177 2.3177 4.6347
2.3177 2.3177 9.2525
```